(1)
Calculated X-ray diffraction stick pattern
Compound: Mn3SbP4O16
Radiation: Cu Ka
Structure: a crystal structure in the Materials Project, relaxed with PBE+U
Lines closer than 0.1° are merged.

The 10 most intense peaks (2θ = 5–70°), sorted by position:
2θ = 17.63°, intensity 100; 2θ = 19.42°, intensity 57; 2θ = 19.96°, intensity 61; 2θ = 24.25°, intensity 58; 2θ = 24.56°, intensity 29; 2θ = 24.70°, intensity 56; 2θ = 29.02°, intensity 99; 2θ = 29.35°, intensity 35; 2θ = 34.82°, intensity 53; 2θ = 35.78°, intensity 42

Structure:
Cell lengths 7.9577, 7.9577, 10.0650 Å; angles 91.25, 91.25, 101.29 degrees
Element x y z (fractional)
Mn 0.0000 0.0000 0.0000
Mn 0.1782 0.6817 0.5653
Mn 0.4996 0.9991 0.0758
Mn 0.5102 0.5102 0.9963
Mn 0.6817 0.1782 0.5653
Mn 0.9991 0.4996 0.0758
Sb 0.1789 0.1789 0.4966
Sb 0.6881 0.6881 0.5015
P 0.2494 0.7508 0.8946
P 0.2619 0.2619 0.1764
P 0.4131 0.4131 0.6833
P 0.4203 0.9009 0.3713
P 0.7508 0.2494 0.8946
P 0.7620 0.7620 0.1840
P 0.8947 0.8947 0.7001
P 0.9009 0.4203 0.3713
O 0.0409 0.0409 0.6748
O 0.0495 0.5668 0.3993
O 0.0982 0.5996 0.9186
O 0.1082 0.1082 0.1607
O 0.2193 0.9210 0.9631
O 0.2254 0.4253 0.1078
O 0.2409 0.4363 0.6156
O 0.2548 0.9121 0.4473
O 0.2727 0.7727 0.7467
O 0.2991 0.2991 0.3265
O 0.3830 0.8749 0.2209
O 0.4031 0.4031 0.8345
O 0.4213 0.7245 0.9659
O 0.4253 0.2254 0.1078
O 0.4363 0.2409 0.6156
O 0.4609 0.7239 0.4327
O 0.5647 0.5647 0.6531
O 0.5668 0.0495 0.3993
O 0.5996 0.0982 0.9186
O 0.6098 0.6098 0.1637
O 0.7200 0.9116 0.6197
O 0.7239 0.4609 0.4327
O 0.7245 0.4213 0.9659
O 0.7286 0.9287 0.1208
O 0.7727 0.2727 0.7467
O 0.7980 0.7980 0.3392
O 0.8676 0.8676 0.8485
O 0.8749 0.3830 0.2209
O 0.9121 0.2548 0.4473
O 0.9116 0.7200 0.6197
O 0.9210 0.2193 0.9631
O 0.9287 0.7286 0.1208

(2)
Calculated X-ray diffraction stick pattern
Compound: MnSb3P6O24
Radiation: Cu Ka
Structure: a crystal structure in the Materials Project, relaxed with PBE+U
Lines closer than 0.1° are merged.

The 10 most intense peaks (2θ = 5–70°), sorted by position:
2θ = 14.30°, intensity 44; 2θ = 19.97°, intensity 100; 2θ = 20.58°, intensity 71; 2θ = 23.89°, intensity 61; 2θ = 28.83°, intensity 65; 2θ = 31.93°, intensity 56; 2θ = 35.69°, intensity 27; 2θ = 36.04°, intensity 27; 2θ = 52.55°, intensity 21; 2θ = 56.41°, intensity 19

Structure:
Cell lengths 8.8988, 8.8988, 8.8988 Å; angles 58.02, 58.02, 58.02 degrees
Element x y z (fractional)
Mn 0.0000 0.0000 0.0000
Sb 0.2132 0.2132 0.2132
Sb 0.5003 0.5003 0.5003
Sb 0.7135 0.7135 0.7135
P 0.1056 0.3907 0.8196
P 0.3144 0.8957 0.6106
P 0.3907 0.8196 0.1056
P 0.6106 0.3145 0.8957
P 0.8196 0.1056 0.3907
P 0.8957 0.6106 0.3144
O 0.0746 0.4296 0.3007
O 0.0811 0.2238 0.8442
O 0.1319 0.3728 0.9893
O 0.1398 0.9157 0.7797
O 0.2238 0.8442 0.0811
O 0.2807 0.4177 0.6381
O 0.3007 0.0746 0.4296
O 0.3444 0.7238 0.5795
O 0.3728 0.9893 0.1319
O 0.4177 0.6381 0.2807
O 0.4296 0.3007 0.0746
O 0.4927 0.8706 0.6284
O 0.5772 0.7972 0.9327
O 0.5795 0.3444 0.7238
O 0.6284 0.4927 0.8706
O 0.6381 0.2807 0.4177
O 0.7238 0.5795 0.3444
O 0.7797 0.1398 0.9157
O 0.7972 0.9327 0.5772
O 0.8442 0.0811 0.2238
O 0.8706 0.6284 0.4927
O 0.9157 0.7797 0.1398
O 0.9327 0.5772 0.7972
O 0.9893 0.1319 0.3728

(3)
Calculated X-ray diffraction stick pattern
Compound: MnSb3P4O16
Radiation: Cu Ka
Structure: a crystal structure in the Materials Project, relaxed with PBE+U
Lines closer than 0.1° are merged.

The 10 most intense peaks (2θ = 5–70°), sorted by position:
2θ = 17.23°, intensity 97; 2θ = 19.60°, intensity 24; 2θ = 19.95°, intensity 28; 2θ = 23.71°, intensity 74; 2θ = 24.01°, intensity 76; 2θ = 26.60°, intensity 100; 2θ = 28.50°, intensity 22; 2θ = 34.11°, intensity 51; 2θ = 34.75°, intensity 45; 2θ = 45.29°, intensity 26

Structure:
Cell lengths 4.9901, 6.7025, 10.2967 Å; angles 90.00, 91.31, 90.00 degrees
Element x y z (fractional)
Mn 0.0000 0.0000 0.0000
Sb 0.3855 0.0000 0.4957
Sb 0.4863 0.5000 0.0658
Sb 0.8695 0.5000 0.5613
P 0.0459 0.5000 0.8837
P 0.2967 0.5000 0.3701
P 0.5469 0.0000 0.1753
P 0.8298 0.0000 0.6890
O 0.1214 0.5000 0.7403
O 0.1330 0.0000 0.6682
O 0.1681 0.3216 0.4492
O 0.1681 0.6784 0.4492
O 0.1856 0.3205 0.9595
O 0.1856 0.6795 0.9595
O 0.2002 0.5000 0.2266
O 0.2433 0.0000 0.1608
O 0.6024 0.5000 0.3782
O 0.6374 0.0000 0.3203
O 0.6771 0.1828 0.1018
O 0.6771 0.8172 0.1018
O 0.6833 0.1779 0.6120
O 0.6833 0.8221 0.6120
O 0.7376 0.5000 0.8954
O 0.7693 0.0000 0.8324

(4)
Calculated X-ray diffraction stick pattern
Compound: Mn3SbP4O16
Radiation: Cu Ka
Structure: a crystal structure in the Materials Project, relaxed with PBE+U
Lines closer than 0.1° are merged.

The 10 most intense peaks (2θ = 5–70°), sorted by position:
2θ = 17.65°, intensity 100; 2θ = 19.43°, intensity 56; 2θ = 19.98°, intensity 61; 2θ = 24.26°, intensity 58; 2θ = 24.59°, intensity 29; 2θ = 24.71°, intensity 56; 2θ = 29.01°, intensity 99; 2θ = 29.36°, intensity 35; 2θ = 34.84°, intensity 52; 2θ = 35.79°, intensity 43

Structure:
Cell lengths 7.9576, 7.9576, 11.0947 Å; angles 105.57, 105.57, 101.35 degrees
Element x y z (fractional)
Mn 0.0000 0.0000 0.0000
Mn 0.0564 0.5522 0.0802
Mn 0.1213 0.6192 0.5707
Mn 0.5192 0.5192 0.0059
Mn 0.5522 0.0564 0.0802
Mn 0.6192 0.1213 0.5707
Sb 0.0863 0.0863 0.5022
Sb 0.5786 0.5786 0.5054
P 0.2125 0.7126 0.8989
P 0.3015 0.7826 0.3767
P 0.3465 0.3465 0.1868
P 0.4706 0.4706 0.7037
P 0.7126 0.2125 0.8989
P 0.7826 0.3015 0.3767
P 0.8414 0.8414 0.1836
P 0.9453 0.9453 0.6890
O 0.0307 0.0307 0.8401
O 0.0759 0.7731 0.9696
O 0.0842 0.8891 0.6214
O 0.1157 0.6157 0.7505
O 0.1479 0.3478 0.1239
O 0.1662 0.6513 0.4052
O 0.2526 0.7430 0.2260
O 0.2775 0.5765 0.9671
O 0.3119 0.3119 0.6790
O 0.3290 0.9866 0.4522
O 0.3478 0.1479 0.1239
O 0.3729 0.8783 0.9227
O 0.3881 0.3881 0.3427
O 0.4137 0.6049 0.6232
O 0.4894 0.4894 0.1684
O 0.5089 0.7731 0.4391
O 0.5724 0.5724 0.8519
O 0.5765 0.2775 0.9671
O 0.6049 0.4137 0.6232
O 0.6157 0.1157 0.7505
O 0.6441 0.8443 0.1149
O 0.6513 0.1662 0.4052
O 0.7430 0.2526 0.2260
O 0.7731 0.0759 0.9696
O 0.7731 0.5089 0.4391
O 0.7783 0.7783 0.6575
O 0.8443 0.6441 0.1149
O 0.8783 0.3729 0.9227
O 0.8799 0.8799 0.3337
O 0.8891 0.0842 0.6214
O 0.9862 0.9862 0.1658
O 0.9866 0.3290 0.4522

(5)
Calculated X-ray diffraction stick pattern
Compound: Mn3SbP4O16
Radiation: Cu Ka
Structure: a crystal structure in the Materials Project, relaxed with PBE+U
Lines closer than 0.1° are merged.

The 10 most intense peaks (2θ = 5–70°), sorted by position:
2θ = 17.62°, intensity 100; 2θ = 19.54°, intensity 56; 2θ = 19.86°, intensity 68; 2θ = 24.35°, intensity 52; 2θ = 24.61°, intensity 59; 2θ = 24.75°, intensity 32; 2θ = 29.02°, intensity 100; 2θ = 29.19°, intensity 34; 2θ = 35.01°, intensity 50; 2θ = 35.57°, intensity 43

Structure:
Cell lengths 5.0410, 6.1535, 10.0664 Å; angles 90.00, 91.14, 90.00 degrees
Element x y z (fractional)
Mn 0.0000 0.0000 0.0000
Mn 0.1611 0.5000 0.4224
Mn 0.6619 0.0000 0.4957
Sb 0.5256 0.5000 0.9243
P 0.1587 0.0000 0.3144
P 0.4720 0.0000 0.8032
P 0.6810 0.5000 0.5986
P 0.9865 0.5000 0.1214
O 0.2100 0.0000 0.1644
O 0.2872 0.5000 0.1019
O 0.2992 0.1980 0.3823
O 0.2992 0.8020 0.3823
O 0.3189 0.1952 0.8688
O 0.3189 0.8048 0.8688
O 0.3765 0.5000 0.5838
O 0.4416 0.0000 0.6517
O 0.7603 0.5000 0.7480
O 0.7658 0.0000 0.8417
O 0.8106 0.3016 0.5288
O 0.8106 0.6984 0.5288
O 0.8437 0.3051 0.0467
O 0.8437 0.6949 0.0467
O 0.8551 0.0000 0.3337
O 0.9235 0.5000 0.2688

(6)
Calculated X-ray diffraction stick pattern
Compound: Ti3Mn2SbP6O24
Radiation: Cu Ka
Structure: a crystal structure in the Materials Project, relaxed with PBE+U
Lines closer than 0.1° are merged.

The 10 most intense peaks (2θ = 5–70°), sorted by position:
2θ = 20.22°, intensity 97; 2θ = 23.77°, intensity 100; 2θ = 24.83°, intensity 13; 2θ = 31.39°, intensity 17; 2θ = 32.28°, intensity 82; 2θ = 35.39°, intensity 44; 2θ = 46.29°, intensity 25; 2θ = 48.64°, intensity 31; 2θ = 55.35°, intensity 37; 2θ = 61.58°, intensity 22

Structure:
Cell lengths 8.7678, 8.7678, 8.7678 Å; angles 60.14, 60.14, 60.14 degrees
Element x y z (fractional)
Ti 0.0000 0.0000 0.0000
Ti 0.2070 0.2070 0.2070
Ti 0.5004 0.5004 0.5004
Mn 0.3532 0.3532 0.3532
Mn 0.8546 0.8546 0.8546
Sb 0.7063 0.7063 0.7063
P 0.1150 0.8112 0.3906
P 0.2972 0.6022 0.9058
P 0.3906 0.1150 0.8112
P 0.6022 0.9058 0.2972
P 0.8112 0.3906 0.1150
P 0.9058 0.2972 0.6022
O 0.0439 0.8537 0.2387
O 0.0956 0.2759 0.4389
O 0.1077 0.7644 0.9189
O 0.1890 0.9657 0.3325
O 0.2387 0.0439 0.8537
O 0.2750 0.6183 0.4049
O 0.2759 0.4389 0.0956
O 0.3325 0.1890 0.9657
O 0.3535 0.5467 0.7372
O 0.4049 0.2750 0.6183
O 0.4389 0.0956 0.2759
O 0.4453 0.6602 0.8870
O 0.5467 0.7371 0.3535
O 0.5839 0.9625 0.8064
O 0.6183 0.4049 0.2750
O 0.6602 0.8870 0.4453
O 0.7372 0.3535 0.5467
O 0.7644 0.9189 0.1077
O 0.8064 0.5839 0.9625
O 0.8537 0.2387 0.0439
O 0.8870 0.4453 0.6602
O 0.9189 0.1077 0.7644
O 0.9625 0.8064 0.5839
O 0.9657 0.3325 0.1890